(1)
This entry pairs a crystal structure of Tb2SnAu2 with its calculated powder XRD pattern. Radiation: Cu Kα X-rays. Structure: a cell relaxed with PBE.
Intensities are scaled so that the largest is 100.

Structural model:
Lattice parameters (Å, degrees): 7.9100 7.9100 3.8508 90.00 90.00 90.00
Space group P4/mbm (No. 127)
One atom of each set of equivalent atoms:
1 Tb 0.1725 0.3275 0.0000 (multiplicity 4)
2 Sn 0.0000 0.0000 0.5000 (multiplicity 2)
3 Au 0.1263 0.6263 0.5000 (multiplicity 4)

Largest 12 diffraction maxima, in order of rising 2θ, 10° ≤ 2θ ≤ 80°:
(hkl)  Position (°2θ)  I (rel.)
1 1 0  15.8  12
2 0 1  32.5  19
2 1 1  34.4  100
3 1 0  35.9  37
3 2 0  41.1  11
0 0 2  47.2  14
3 2 1  47.7  9
4 1 1  53.4  8
3 1 2  60.7  17
5 1 1  64.8  10
5 2 1  68.4  13
2 1 3  79.4  9



(2)
This entry pairs a crystal structure of Ti5Sn3Au with its calculated powder XRD pattern. Radiation: Cu Kα X-rays. Structure: a cell relaxed with PBE.
Intensities are scaled so that the largest is 100.

Structural model:
Lattice parameters (Å, degrees): 8.3199 8.3199 5.6563 90.00 90.00 120.00
Space group P6_3/mcm (No. 193)
One atom of each set of equivalent atoms:
1 Ti 0.0000 0.2818 0.2500 (multiplicity 6)
2 Ti 0.3333 0.6667 0.0000 (multiplicity 4)
3 Sn 0.0000 0.3820 0.7500 (multiplicity 6)
4 Au 0.0000 0.0000 0.0000 (multiplicity 2)

Largest 12 diffraction maxima, in order of rising 2θ, 10° ≤ 2θ ≤ 80°:
(hkl)  Position (°2θ)  I (rel.)
1 0 0  12.3  38
2 0 0  24.7  36
1 1 1  26.6  28
1 0 2  34.1  16
2 1 1  36.6  34
3 0 0  37.4  86
1 1 2  38.5  100
2 1 2  46.3  15
3 1 1  48.3  20
2 2 2  54.8  25
4 1 2  68.2  23
3 0 4  78.5  20



(3)
This entry pairs a crystal structure of U3Sn4Au3 with its calculated powder XRD pattern. Radiation: Cu Kα X-rays. Structure: a cell relaxed with PBE.
Intensities are scaled so that the largest is 100.

Structural model:
Lattice parameters (Å, degrees): 9.9099 9.9099 9.9099 90.00 90.00 90.00
Space group I-43d (No. 220)
One atom of each set of equivalent atoms:
1 U 0.0000 0.2500 0.8750 (multiplicity 12)
2 Sn 0.0946 0.4054 0.5946 (multiplicity 16)
3 Au 0.0000 0.2500 0.3750 (multiplicity 12)

Largest 12 diffraction maxima, in order of rising 2θ, 10° ≤ 2θ ≤ 80°:
(hkl)  Position (°2θ)  I (rel.)
2 1 1  22.0  17
2 2 0  25.4  16
3 2 1  33.8  100
4 2 0  40.7  54
4 2 2  44.8  13
5 2 1  50.4  22
6 3 1  63.7  13
4 4 4  65.2  14
6 4 0  68.2  12
5 5 2  69.7  10
6 4 2  71.2  9
6 5 1  75.5  9



(4)
This entry pairs a crystal structure of USnAu2 with its calculated powder XRD pattern. Radiation: Cu Kα X-rays. Structure: a cell relaxed with PBE.
Intensities are scaled so that the largest is 100.

Structural model:
Lattice parameters (Å, degrees): 7.0228 7.0228 7.0228 90.00 90.00 90.00
Space group Fm-3m (No. 225)
One atom of each set of equivalent atoms:
1 U 0.0000 0.0000 0.0000 (multiplicity 4)
2 Sn 0.0000 0.0000 0.5000 (multiplicity 4)
3 Au 0.2500 0.2500 0.2500 (multiplicity 8)

Largest 9 diffraction maxima, in order of rising 2θ, 10° ≤ 2θ ≤ 80°:
(hkl)  Position (°2θ)  I (rel.)
1 1 1  21.9  5
2 0 0  25.4  1
2 2 0  36.2  100
3 1 1  42.7  3
4 0 0  52.1  18
3 3 1  57.2  1
4 2 2  65.1  38
5 1 1  69.6  1
4 4 0  76.8  12



(5)
This entry pairs a crystal structure of YSnAu with its calculated powder XRD pattern. Radiation: Cu Kα X-rays. Structure: a cell relaxed with PBE.
Intensities are scaled so that the largest is 100.

Structural model:
Lattice parameters (Å, degrees): 4.7125 4.7125 7.4682 90.00 90.00 120.00
Space group P6_3mc (No. 186)
One atom of each set of equivalent atoms:
1 Y 0.0000 0.0000 0.0000 (multiplicity 2)
2 Sn 0.3333 0.6667 0.2758 (multiplicity 2)
3 Au 0.3333 0.6667 0.6751 (multiplicity 2)

Largest 12 diffraction maxima, in order of rising 2θ, 10° ≤ 2θ ≤ 80°:
(hkl)  Position (°2θ)  I (rel.)
0 0 2  23.8  22
1 0 1  24.9  40
1 0 2  32.5  85
1 1 0  38.2  100
1 0 3  42.5  46
1 1 2  45.5  26
2 0 2  51.0  24
2 0 3  58.5  18
2 1 2  65.5  23
1 0 5  66.7  18
3 0 0  69.0  18
2 1 3  72.0  20



(6)
This entry pairs a crystal structure of YSnAu with its calculated powder XRD pattern. Radiation: Cu Kα X-rays. Structure: a cell relaxed with PBE.
Intensities are scaled so that the largest is 100.

Structural model:
Lattice parameters (Å, degrees): 4.7270 4.7270 7.4427 90.00 90.00 120.00
Space group P6_3/mmc (No. 194)
One atom of each set of equivalent atoms:
1 Y 0.0000 0.0000 0.0000 (multiplicity 2)
2 Sn 0.3333 0.6667 0.2500 (multiplicity 2)
3 Au 0.3333 0.6667 0.7500 (multiplicity 2)

Largest 12 diffraction maxima, in order of rising 2θ, 10° ≤ 2θ ≤ 80°:
(hkl)  Position (°2θ)  I (rel.)
1 0 0  21.7  9
0 0 2  23.9  29
1 0 1  24.8  14
1 0 2  32.5  100
1 1 0  38.1  88
1 1 2  45.5  34
0 0 4  49.0  14
2 0 2  50.9  28
1 1 4  63.6  39
2 1 2  65.3  27
3 0 0  68.8  16
3 0 2  74.0  9



(7)
This entry pairs a crystal structure of Sr3Au with its calculated powder XRD pattern. Radiation: Cu Kα X-rays. Structure: a cell relaxed with PBE.
Intensities are scaled so that the largest is 100.

Structural model:
Lattice parameters (Å, degrees): 5.3623 5.3623 5.3623 90.00 90.00 90.00
Space group Pm-3m (No. 221)
One atom of each set of equivalent atoms:
1 Sr 0.0000 0.0000 0.5000 (multiplicity 3)
2 Au 0.5000 0.5000 0.5000 (multiplicity 1)

Largest 12 diffraction maxima, in order of rising 2θ, 10° ≤ 2θ ≤ 80°:
(hkl)  Position (°2θ)  I (rel.)
1 0 0  16.5  15
1 1 0  23.5  13
1 1 1  28.8  100
2 0 0  33.4  51
2 1 0  37.5  9
2 1 1  41.2  7
2 2 0  48.0  37
3 0 0  51.1  5
3 1 1  57.0  44
2 2 2  59.7  13
4 0 0  70.2  6
3 3 1  77.6  18



(8)
This entry pairs a crystal structure of Sr7Au3 with its calculated powder XRD pattern. Radiation: Cu Kα X-rays. Structure: a cell relaxed with PBE.
Intensities are scaled so that the largest is 100.

Structural model:
Lattice parameters (Å, degrees): 11.1727 11.1727 7.2069 90.00 90.00 120.00
Space group P6_3mc (No. 186)
One atom of each set of equivalent atoms:
1 Sr 0.0849 0.5424 0.0000 (multiplicity 6)
2 Sr 0.1252 0.2504 0.6837 (multiplicity 6)
3 Sr 0.3333 0.6667 0.4791 (multiplicity 2)
4 Au 0.1883 0.3766 0.2654 (multiplicity 6)

Largest 12 diffraction maxima, in order of rising 2θ, 10° ≤ 2θ ≤ 80°:
(hkl)  Position (°2θ)  I (rel.)
1 0 1  15.3  76
2 0 1  22.1  73
2 1 1  27.3  75
3 0 0  27.7  36
3 0 1  30.4  100
2 0 2  30.9  83
2 2 0  32.0  86
2 1 2  35.0  53
2 0 3  42.0  51
3 2 1  42.6  45
5 0 2  53.8  46
2 2 4  61.2  53



(9)
This entry pairs a crystal structure of SrAu2 with its calculated powder XRD pattern. Radiation: Cu Kα X-rays. Structure: a cell relaxed with PBE.
Intensities are scaled so that the largest is 100.

Structural model:
Lattice parameters (Å, degrees): 4.8402 7.6409 8.3195 90.00 90.00 90.00
Space group Imma (No. 74)
One atom of each set of equivalent atoms:
1 Sr 0.0000 0.2500 0.0342 (multiplicity 4)
2 Au 0.0000 0.0404 0.6645 (multiplicity 8)

Largest 12 diffraction maxima, in order of rising 2θ, 10° ≤ 2θ ≤ 80°:
(hkl)  Position (°2θ)  I (rel.)
1 0 1  21.2  17
0 2 0  23.3  35
1 1 2  30.7  17
1 2 1  31.7  100
0 3 1  36.9  22
2 0 0  37.2  39
1 0 3  37.4  71
1 2 3  44.5  31
1 3 2  45.8  15
2 2 2  49.7  17
2 3 1  53.4  15
1 5 2  68.2  16



(10)
This entry pairs a crystal structure of TbAu with its calculated powder XRD pattern. Radiation: Cu Kα X-rays. Structure: a cell relaxed with PBE.
Intensities are scaled so that the largest is 100.

Structural model:
Lattice parameters (Å, degrees): 3.7373 11.0718 4.7002 90.00 90.00 90.00
Space group Cmcm (No. 63)
One atom of each set of equivalent atoms:
1 Tb 0.0000 0.1391 0.2500 (multiplicity 4)
2 Au 0.0000 0.4117 0.2500 (multiplicity 4)

Largest 12 diffraction maxima, in order of rising 2θ, 10° ≤ 2θ ≤ 80°:
(hkl)  Position (°2θ)  I (rel.)
1 1 1  31.6  100
0 4 0  32.3  33
0 4 1  37.7  28
0 0 2  38.3  38
1 3 1  39.3  84
2 0 0  48.7  19
0 4 2  51.0  19
2 0 2  63.6  17
1 1 3  65.1  13
1 3 3  69.9  16
2 4 2  73.2  13
1 7 2  77.0  15



(11)
This entry pairs a crystal structure of Tb2Au with its calculated powder XRD pattern. Radiation: Cu Kα X-rays. Structure: a cell relaxed with PBE.
Intensities are scaled so that the largest is 100.

Structural model:
Lattice parameters (Å, degrees): 7.1968 4.9681 9.0257 90.00 90.00 90.00
Space group Pnma (No. 62)
One atom of each set of equivalent atoms:
1 Tb 0.0158 0.2500 0.1758 (multiplicity 4)
2 Tb 0.1490 0.2500 0.5812 (multiplicity 4)
3 Au 0.2431 0.2500 0.9006 (multiplicity 4)

Largest 12 diffraction maxima, in order of rising 2θ, 10° ≤ 2θ ≤ 80°:
(hkl)  Position (°2θ)  I (rel.)
1 1 2  29.5  55
2 1 0  30.7  25
2 0 2  31.8  19
2 1 1  32.3  100
0 1 3  34.9  64
0 2 0  36.2  55
3 0 2  42.7  19
3 1 1  43.1  17
2 1 3  43.2  22
3 2 2  57.1  17
3 1 4  59.2  14
5 1 1  68.7  14



(12)
This entry pairs a crystal structure of TbAu3 with its calculated powder XRD pattern. Radiation: Cu Kα X-rays. Structure: a cell relaxed with PBE.
Intensities are scaled so that the largest is 100.

Structural model:
Lattice parameters (Å, degrees): 5.0867 6.1785 5.2078 90.00 90.00 90.00
Space group Pmmn (No. 59, origin choice 2)
One atom of each set of equivalent atoms:
1 Tb 0.2500 0.2500 0.1551 (multiplicity 2)
2 Au 0.2500 0.5049 0.6586 (multiplicity 4)
3 Au 0.2500 0.7500 0.1615 (multiplicity 2)

Largest 12 diffraction maxima, in order of rising 2θ, 10° ≤ 2θ ≤ 80°:
(hkl)  Position (°2θ)  I (rel.)
0 2 1  33.7  29
2 0 0  35.3  44
1 2 1  38.2  100
1 0 2  38.9  56
2 2 1  49.6  20
0 4 0  59.9  10
0 2 3  61.2  18
3 2 1  65.3  21
3 0 2  65.7  12
2 4 0  71.5  12
2 2 3  72.7  24
1 4 2  73.7  18